Structure and computed XRD peak list of CaPuRh2 (a DFT-relaxed cell (PBE, the Materials Project); Cu Kα, 1.54184 Å).
Peak positions follow from Bragg's law for the DFT cell and can differ from measured ones.

Crystal structure
abc: 6.7678 6.7678 6.7678
angles: 90.00 90.00 90.00
Space group Fm-3m (No. 225)
One atom of each set of equivalent atoms:
Ca1 0.0000 0.0000 0.0000 (multiplicity 4)
Pu1 0.0000 0.0000 0.5000 (multiplicity 4)
Rh1 0.2500 0.2500 0.2500 (multiplicity 8)

Main lines, sorted by position (2θ from 10° to 80°):
(hkl)  two_theta  I/Imax
1 1 1  22.8  36
2 0 0  26.3  2
2 2 0  37.6  100
3 1 1  44.4  20
2 2 2  46.5  1
4 0 0  54.2  17
3 3 1  59.5  9
4 2 0  61.3  1
4 2 2  67.8  35
5 1 1  72.6  7

Structure and computed XRD peak list of CuH9C5NO5 (a DFT-relaxed cell (PBE, the Materials Project); Cu Kα, 1.54184 Å).
Peak positions follow from Bragg's law for the DFT cell and can differ from measured ones.

Crystal structure
abc: 6.7361 7.8299 10.3533
angles: 100.57 100.16 109.77
Space group P-1 (No. 2)
One atom of each set of equivalent atoms:
Cu1 0.1254 0.0683 0.1263 (multiplicity 2)
H1 0.0137 0.3806 0.5618 (multiplicity 2)
H2 0.0803 0.8148 0.5842 (multiplicity 2)
H3 0.0940 0.8535 0.4204 (multiplicity 2)
H4 0.2199 0.6366 0.9365 (multiplicity 2)
H5 0.2843 0.5438 0.3372 (multiplicity 2)
H6 0.3868 0.8624 0.7138 (multiplicity 2)
H7 0.3881 0.7778 0.3189 (multiplicity 2)
H8 0.4150 0.3231 0.8823 (multiplicity 2)
H9 0.4387 0.3036 0.5779 (multiplicity 2)
C1 0.1103 0.7618 0.4869 (multiplicity 2)
C2 0.1534 0.7478 0.9536 (multiplicity 2)
C3 0.2890 0.2226 0.9168 (multiplicity 2)
C4 0.3945 0.6897 0.3897 (multiplicity 2)
C5 0.4621 0.8164 0.6346 (multiplicity 2)
N1 0.3280 0.7571 0.5091 (multiplicity 2)
O1 0.0154 0.7450 0.8519 (multiplicity 2)
O2 0.1211 0.1115 0.8239 (multiplicity 2)
O3 0.2268 0.8591 0.0719 (multiplicity 2)
O4 0.3339 0.2368 0.0436 (multiplicity 2)
O5 0.3468 0.1786 0.3378 (multiplicity 2)

Main lines, sorted by position (2θ from 10° to 80°):
(hkl)  two_theta  I/Imax
0 1 0  12.4  100
0 1 -1  13.3  71
1 0 -1  14.9  76
1 -1 0  15.0  21
-1 1 1  17.3  47
1 -1 1  17.8  19
1 -2 0  23.6  19
1 1 -2  24.1  30
1 2 -2  32.9  16
1 0 3  34.2  17

Structure and computed XRD peak list of Mg7Mo (a DFT-relaxed cell (PBE, the Materials Project); Cu Kα, 1.54184 Å).
Peak positions follow from Bragg's law for the DFT cell and can differ from measured ones.

Crystal structure
abc: 6.2177 6.2177 4.9341
angles: 90.00 90.00 120.00
Space group P-6m2 (No. 187)
One atom of each set of equivalent atoms:
Mg1 0.0000 0.0000 0.0000 (multiplicity 1)
Mg2 0.1678 0.3357 0.5000 (multiplicity 3)
Mg3 0.5091 0.0181 0.0000 (multiplicity 3)
Mo1 0.6667 0.3333 0.5000 (multiplicity 1)

Main lines, sorted by position (2θ from 10° to 80°):
(hkl)  two_theta  I/Imax
1 0 0  16.5  42
1 0 1  24.5  25
2 0 0  33.3  29
0 0 2  36.4  25
2 0 1  38.1  100
2 0 2  50.2  17
2 2 0  59.5  17
2 0 3  66.6  18
2 2 2  71.8  18
4 0 1  72.8  13

Structure and computed XRD peak list of LiSi3 (a DFT-relaxed cell (PBE, the Materials Project); Cu Kα, 1.54184 Å).
Peak positions follow from Bragg's law for the DFT cell and can differ from measured ones.

Crystal structure
abc: 3.7493 3.7493 8.0499
angles: 90.00 90.00 90.00
Space group I4/mmm (No. 139)
One atom of each set of equivalent atoms:
Li1 0.0000 0.0000 0.0000 (multiplicity 2)
Si1 0.0000 0.0000 0.5000 (multiplicity 2)
Si2 0.0000 0.5000 0.2500 (multiplicity 4)

Main lines, sorted by position (2θ from 10° to 80°):
(hkl)  two_theta  I/Imax
0 0 2  22.1  10
1 0 1  26.2  24
1 1 0  33.8  6
1 1 2  40.8  100
1 0 3  41.4  6
0 0 4  45.0  18
2 0 0  48.6  29
2 1 1  56.0  5
2 0 4  68.4  21
2 2 0  71.1  9

Structure and computed XRD peak list of ZrNbSi2Ru2 (a DFT-relaxed cell (PBE, the Materials Project); Cu Kα, 1.54184 Å).
Peak positions follow from Bragg's law for the DFT cell and can differ from measured ones.

Crystal structure
abc: 6.6139 3.7546 11.3013
angles: 90.00 90.38 90.00
Space group Pm (No. 6)
One atom of each set of equivalent atoms:
Zr1 0.0000 0.0000 0.0000 (multiplicity 1)
Zr2 0.0012 0.0000 0.5821 (multiplicity 1)
Zr3 0.5002 0.0000 0.0827 (multiplicity 1)
Nb1 0.1312 0.0000 0.2918 (multiplicity 1)
Nb2 0.5012 0.0000 0.4997 (multiplicity 1)
Nb3 0.6277 0.0000 0.7903 (multiplicity 1)
Si1 0.2087 0.5000 0.1287 (multiplicity 1)
Si2 0.2137 0.5000 0.4556 (multiplicity 1)
Si3 0.2169 0.0000 0.7912 (multiplicity 1)
Si4 0.7029 0.5000 0.6248 (multiplicity 1)
Si5 0.7079 0.5000 0.9539 (multiplicity 1)
Si6 0.7145 0.0000 0.2945 (multiplicity 1)
Ru1 0.3333 0.5000 0.6682 (multiplicity 1)
Ru2 0.3325 0.5000 0.9128 (multiplicity 1)
Ru3 0.4648 0.5000 0.2931 (multiplicity 1)
Ru4 0.8319 0.5000 0.4140 (multiplicity 1)
Ru5 0.8328 0.5000 0.1695 (multiplicity 1)
Ru6 0.9644 0.5000 0.7900 (multiplicity 1)

Main lines, sorted by position (2θ from 10° to 80°):
(hkl)  two_theta  I/Imax
1 1 1  28.5  41
2 1 0  36.2  99
1 1 -3  36.4  100
1 1 3  36.5  100
2 1 -2  39.6  67
2 1 2  39.7  68
0 1 4  39.9  67
1 0 -5  42.2  62
0 2 0  48.5  77
1 2 -5  66.2  38

Q: Number 2 is which compound?
A: CuH9C5NO5